[1]
For Ac2Pt2O5, a structure optimized by DFT (PBE) gives the computed X-ray diffraction stick pattern in this record (Cu Kα).
Peak positions follow from Bragg's law for the DFT cell and can differ from measured ones.

Cell and atoms:
Cell lengths 7.379, 7.379, 5.421 Å; angles 109.90, 109.90, 32.25 degrees
Element x y z (fractional)
Ac: 0.118 0.118 0.315
Ac: 0.882 0.882 0.685
Pt: 0.400 0.400 0.208
Pt: 0.600 0.600 0.792
O: 0.078 0.078 0.793
O: 0.307 0.307 0.415
O: 0.500 0.500 0.000
O: 0.693 0.693 0.585
O: 0.922 0.922 0.207

Principal peaks in the range 2θ from 10° to 90°, in order of rising 2θ:
- 26.90°, intensity 71.5
- 30.27°, intensity 96.5
- 30.72°, intensity 100.0
- 33.06°, intensity 32.1
- 35.41°, intensity 25.8
- 38.32°, intensity 33.3
- 43.79°, intensity 25.9
- 44.20°, intensity 28.9
- 50.26°, intensity 30.2
- 52.50°, intensity 24.6



[2]
For Pr8Ru2Rh, a structure optimized by DFT (PBE) gives the computed X-ray diffraction stick pattern in this record (Cu Kα).
Peak positions follow from Bragg's law for the DFT cell and can differ from measured ones.

Cell and atoms:
Cell lengths 9.460, 9.460, 7.026 Å; angles 104.66, 104.66, 31.08 degrees
Element x y z (fractional)
Pr: 0.033 0.033 0.289
Pr: 0.203 0.203 0.821
Pr: 0.330 0.330 0.530
Pr: 0.406 0.406 0.047
Pr: 0.594 0.594 0.953
Pr: 0.670 0.670 0.470
Pr: 0.797 0.797 0.179
Pr: 0.967 0.967 0.711
Ru: 0.187 0.187 0.209
Ru: 0.813 0.813 0.791
Rh: 0.500 0.500 0.500

Principal peaks in the range 2θ from 10° to 90°, in order of rising 2θ:
- 28.66°, intensity 55.0
- 30.92°, intensity 100.0
- 31.03°, intensity 50.0
- 32.10°, intensity 18.0
- 33.28°, intensity 49.9
- 35.41°, intensity 64.2
- 36.26°, intensity 43.8
- 36.45°, intensity 17.4
- 60.79°, intensity 18.3
- 64.99°, intensity 16.4



[3]
For Tm4HgC, a structure optimized by DFT (PBE) gives the computed X-ray diffraction stick pattern in this record (Cu Kα).
Peak positions follow from Bragg's law for the DFT cell and can differ from measured ones.

Cell and atoms:
Cell lengths 8.006, 8.006, 6.107 Å; angles 105.12, 105.12, 117.45 degrees
Element x y z (fractional)
Tm: 0.063 0.661 0.854
Tm: 0.164 0.262 0.689
Tm: 0.262 0.164 0.189
Tm: 0.339 0.937 0.646
Tm: 0.661 0.063 0.354
Tm: 0.738 0.836 0.811
Tm: 0.836 0.738 0.311
Tm: 0.937 0.339 0.146
Hg: 0.384 0.616 0.250
Hg: 0.616 0.384 0.750
C: 0.070 0.930 0.750
C: 0.930 0.070 0.250

Principal peaks in the range 2θ from 10° to 90°, in order of rising 2θ:
- 25.46°, intensity 39.7
- 30.32°, intensity 86.4
- 31.15°, intensity 84.1
- 32.25°, intensity 82.4
- 33.03°, intensity 52.7
- 33.95°, intensity 40.8
- 34.24°, intensity 100.0
- 35.08°, intensity 39.1
- 38.13°, intensity 41.8
- 39.01°, intensity 35.5



[4]
For PmPrAu4, a structure optimized by DFT (PBE) gives the computed X-ray diffraction stick pattern in this record (Cu Kα).
Peak positions follow from Bragg's law for the DFT cell and can differ from measured ones.

Cell and atoms:
Cell lengths 5.393, 5.393, 5.457 Å; angles 90.08, 90.08, 118.98 degrees
Element x y z (fractional)
Pm: 0.000 0.000 0.000
Pr: 0.500 0.500 0.500
Au: 0.165 0.835 0.500
Au: 0.333 0.667 0.000
Au: 0.667 0.333 0.000
Au: 0.835 0.165 0.500

Principal peaks in the range 2θ from 10° to 90°, in order of rising 2θ:
- 32.71°, intensity 35.2
- 32.82°, intensity 34.9
- 37.20°, intensity 100.0
- 46.95°, intensity 13.0
- 47.08°, intensity 12.9
- 59.71°, intensity 6.4
- 61.35°, intensity 23.6
- 61.50°, intensity 23.4
- 69.80°, intensity 16.1
- 79.27°, intensity 11.5



[5]
For Er2Tm5Tl, a structure optimized by DFT (PBE) gives the computed X-ray diffraction stick pattern in this record (Cu Kα).
Peak positions follow from Bragg's law for the DFT cell and can differ from measured ones.

Cell and atoms:
Cell lengths 8.338, 8.338, 3.459 Å; angles 95.63, 95.63, 83.52 degrees
Element x y z (fractional)
Er: 0.248 0.248 0.401
Er: 0.752 0.752 0.599
Tm: 0.116 0.638 0.217
Tm: 0.362 0.884 0.783
Tm: 0.500 0.500 0.000
Tm: 0.638 0.116 0.217
Tm: 0.884 0.362 0.783
Tl: 0.000 0.000 0.000

Principal peaks in the range 2θ from 10° to 90°, in order of rising 2θ:
- 31.48°, intensity 51.9
- 32.24°, intensity 52.7
- 32.45°, intensity 95.3
- 33.24°, intensity 100.0
- 45.68°, intensity 36.0
- 48.56°, intensity 15.8
- 56.15°, intensity 14.5
- 57.66°, intensity 37.5
- 58.13°, intensity 19.0
- 59.49°, intensity 16.6



[6]
For Cs2GaRhCl6, a structure optimized by DFT (PBE) gives the computed X-ray diffraction stick pattern in this record (Cu Kα).
Peak positions follow from Bragg's law for the DFT cell and can differ from measured ones.

Cell and atoms:
Cell lengths 7.382, 7.382, 7.382 Å; angles 119.95, 119.95, 90.09 degrees
Element x y z (fractional)
Cs: 0.250 0.750 0.500
Cs: 0.750 0.250 0.500
Ga: 0.000 0.000 0.000
Rh: 0.500 0.500 0.000
Cl: 0.270 0.270 0.000
Cl: 0.270 0.270 0.540
Cl: 0.270 0.730 0.000
Cl: 0.730 0.270 0.000
Cl: 0.730 0.730 0.000
Cl: 0.730 0.730 0.460

Principal peaks in the range 2θ from 10° to 90°, in order of rising 2θ:
- 24.10°, intensity 100.0
- 29.63°, intensity 24.9
- 34.35°, intensity 60.8
- 42.40°, intensity 43.2
- 49.37°, intensity 39.9
- 55.67°, intensity 22.2
- 61.52°, intensity 13.0
- 67.07°, intensity 24.4
- 77.55°, intensity 8.9
- 82.61°, intensity 10.8



[7]
For Tm4TeRh, a structure optimized by DFT (PBE) gives the computed X-ray diffraction stick pattern in this record (Cu Kα).
Peak positions follow from Bragg's law for the DFT cell and can differ from measured ones.

Cell and atoms:
Cell lengths 8.124, 3.907, 19.206 Å; angles 90.00, 90.00, 90.00 degrees
Element x y z (fractional)
Tm: 0.008 0.250 0.068
Tm: 0.043 0.750 0.215
Tm: 0.138 0.750 0.648
Tm: 0.142 0.750 0.451
Tm: 0.358 0.250 0.951
Tm: 0.362 0.250 0.148
Tm: 0.457 0.250 0.715
Tm: 0.492 0.750 0.568
Tm: 0.508 0.250 0.432
Tm: 0.543 0.750 0.285
Tm: 0.638 0.750 0.852
Tm: 0.642 0.750 0.049
Tm: 0.858 0.250 0.549
Tm: 0.862 0.250 0.352
Tm: 0.957 0.250 0.785
Tm: 0.992 0.750 0.932
Te: 0.242 0.250 0.312
Te: 0.258 0.750 0.812
Te: 0.742 0.250 0.188
Te: 0.758 0.750 0.688
Rh: 0.236 0.250 0.550
Rh: 0.264 0.750 0.050
Rh: 0.736 0.250 0.950
Rh: 0.764 0.750 0.450

Principal peaks in the range 2θ from 10° to 90°, in order of rising 2θ:
- 31.51°, intensity 100.0
- 31.78°, intensity 30.3
- 32.09°, intensity 40.4
- 32.70°, intensity 36.8
- 33.42°, intensity 38.1
- 34.49°, intensity 28.0
- 34.81°, intensity 64.3
- 38.15°, intensity 22.6
- 39.69°, intensity 21.7
- 46.49°, intensity 32.0



[8]
For PmEu6, a structure optimized by DFT (PBE) gives the computed X-ray diffraction stick pattern in this record (Cu Kα).
Peak positions follow from Bragg's law for the DFT cell and can differ from measured ones.

Cell and atoms:
Cell lengths 7.279, 7.279, 7.279 Å; angles 109.47, 109.47, 109.47 degrees
Element x y z (fractional)
Pm: 0.000 0.000 0.000
Eu: 0.250 0.500 0.750
Eu: 0.250 0.750 0.500
Eu: 0.500 0.250 0.750
Eu: 0.500 0.750 0.250
Eu: 0.750 0.250 0.500
Eu: 0.750 0.500 0.250

Principal peaks in the range 2θ from 10° to 90°, in order of rising 2θ:
- 14.91°, intensity 21.6
- 21.14°, intensity 41.0
- 25.97°, intensity 100.0
- 37.05°, intensity 38.3
- 40.14°, intensity 63.5
- 43.05°, intensity 35.9
- 48.43°, intensity 18.4
- 60.31°, intensity 19.1
- 62.51°, intensity 23.7
- 68.86°, intensity 19.3



[9]
For Li3Tm5Se8, a structure optimized by DFT (PBE) gives the computed X-ray diffraction stick pattern in this record (Cu Kα).
Peak positions follow from Bragg's law for the DFT cell and can differ from measured ones.

Cell and atoms:
Cell lengths 7.983, 7.983, 7.983 Å; angles 60.01, 60.01, 60.01 degrees
Element x y z (fractional)
Li: 0.000 0.500 0.500
Li: 0.500 0.000 0.500
Li: 0.500 0.500 0.000
Tm: 0.000 0.000 0.000
Tm: 0.000 0.000 0.500
Tm: 0.000 0.500 0.000
Tm: 0.500 0.000 0.000
Tm: 0.500 0.500 0.500
Se: 0.250 0.250 0.744
Se: 0.250 0.744 0.250
Se: 0.251 0.251 0.251
Se: 0.256 0.750 0.750
Se: 0.744 0.250 0.250
Se: 0.749 0.749 0.749
Se: 0.750 0.256 0.750
Se: 0.750 0.750 0.256

Principal peaks in the range 2θ from 10° to 90°, in order of rising 2θ:
- 13.59°, intensity 32.2
- 26.18°, intensity 23.8
- 31.70°, intensity 100.0
- 34.63°, intensity 12.8
- 45.44°, intensity 73.4
- 47.65°, intensity 8.6
- 56.47°, intensity 25.6
- 66.22°, intensity 11.9
- 75.28°, intensity 32.9
- 83.98°, intensity 25.0



[10]
For KMg2WN4, a structure optimized by DFT (PBE) gives the computed X-ray diffraction stick pattern in this record (Cu Kα).
Peak positions follow from Bragg's law for the DFT cell and can differ from measured ones.

Cell and atoms:
Cell lengths 7.499, 5.832, 5.693 Å; angles 90.00, 90.00, 90.00 degrees
Element x y z (fractional)
K: 0.000 0.185 0.000
K: 0.500 0.815 0.500
Mg: 0.245 0.328 0.505
Mg: 0.255 0.672 0.005
Mg: 0.745 0.672 0.005
Mg: 0.755 0.328 0.505
W: 0.000 0.800 0.512
W: 0.500 0.200 0.012
N: 0.000 0.125 0.478
N: 0.000 0.736 0.836
N: 0.192 0.654 0.363
N: 0.308 0.346 0.863
N: 0.500 0.264 0.336
N: 0.500 0.875 0.978
N: 0.692 0.346 0.863
N: 0.808 0.654 0.363

Principal peaks in the range 2θ from 10° to 90°, in order of rising 2θ:
- 19.28°, intensity 71.0
- 19.58°, intensity 78.1
- 21.82°, intensity 66.4
- 23.73°, intensity 33.0
- 30.66°, intensity 28.4
- 31.43°, intensity 38.8
- 32.45°, intensity 100.0
- 39.16°, intensity 21.6
- 51.07°, intensity 26.9
- 56.60°, intensity 27.7



[11]
For Ac4GeRuI2, a structure optimized by DFT (PBE) gives the computed X-ray diffraction stick pattern in this record (Cu Kα).
Peak positions follow from Bragg's law for the DFT cell and can differ from measured ones.

Cell and atoms:
Cell lengths 7.980, 4.445, 8.793 Å; angles 90.00, 106.13, 90.00 degrees
Element x y z (fractional)
Ac: 0.217 0.000 0.189
Ac: 0.245 0.500 0.814
Ac: 0.755 0.500 0.186
Ac: 0.783 0.000 0.811
Ge: 0.500 0.000 0.000
Ru: 0.000 0.500 0.000
I: 0.000 0.000 0.500
I: 0.500 0.500 0.500

Principal peaks in the range 2θ from 10° to 90°, in order of rising 2θ:
- 10.47°, intensity 13.6
- 26.76°, intensity 100.0
- 29.15°, intensity 15.4
- 31.78°, intensity 12.0
- 33.63°, intensity 9.8
- 35.73°, intensity 10.6
- 36.84°, intensity 14.4
- 39.49°, intensity 26.9
- 40.59°, intensity 14.3
- 49.26°, intensity 11.7



[12]
For Pm4HoSi4, a structure optimized by DFT (PBE) gives the computed X-ray diffraction stick pattern in this record (Cu Kα).
Peak positions follow from Bragg's law for the DFT cell and can differ from measured ones.

Cell and atoms:
Cell lengths 8.935, 8.935, 6.009 Å; angles 90.00, 90.00, 90.00 degrees
Element x y z (fractional)
Pm: 0.057 0.670 0.114
Pm: 0.170 0.943 0.614
Pm: 0.330 0.557 0.614
Pm: 0.443 0.830 0.114
Pm: 0.557 0.170 0.886
Pm: 0.670 0.443 0.386
Pm: 0.830 0.057 0.386
Pm: 0.943 0.330 0.886
Ho: 0.250 0.250 0.250
Ho: 0.750 0.750 0.750
Si: 0.010 0.619 0.603
Si: 0.119 0.990 0.103
Si: 0.381 0.510 0.103
Si: 0.490 0.881 0.603
Si: 0.510 0.119 0.397
Si: 0.619 0.490 0.897
Si: 0.881 0.010 0.897
Si: 0.990 0.381 0.397

Principal peaks in the range 2θ from 10° to 90°, in order of rising 2θ:
- 24.83°, intensity 28.9
- 26.79°, intensity 100.0
- 31.41°, intensity 42.9
- 31.67°, intensity 87.9
- 35.09°, intensity 22.0
- 37.45°, intensity 22.5
- 45.39°, intensity 29.2
- 47.56°, intensity 26.0
- 52.03°, intensity 19.8
- 53.49°, intensity 28.2